Calculated X-ray diffraction stick pattern of Na2CuAgO4 for Cu Ka, from a crystal structure in Alexandria, relaxed with GGA-PBE.
Neutral-atom scattering factors, no anomalous dispersion.

The 6 most intense peaks (2θ from 10° to 80°), sorted by position:
- 2θ 16.4, I 100
- 2θ 26.9, I 62
- 2θ 31.1, I 80
- 2θ 32.2, I 42
- 2θ 34.7, I 50
- 2θ 42.6, I 72

Atomic structure:
```
Na2CuAgO4
1.0
6.2452 0.0000 0.0000
0.0000 2.8958 0.0000
-2.9422 0.0000 5.7580
Na Cu Ag O
2 1 1 4
direct
0.0000 0.0000 0.0000 Na
0.5000 0.5000 0.5000 Na
0.0000 0.5000 0.5000 Cu
0.5000 0.0000 0.0000 Ag
0.1490 0.0000 0.4303 O
0.3322 0.5000 0.0909 O
0.6678 0.5000 0.9091 O
0.8510 0.0000 0.5697 O
```

---

Calculated X-ray diffraction stick pattern of Na2CuAgSb2 for Cu Ka, from a crystal structure in Alexandria, relaxed with GGA-PBE.
Neutral-atom scattering factors, no anomalous dispersion.

The 6 most intense peaks (2θ from 10° to 80°), sorted by position:
- 2θ 11.9, I 100
- 2θ 23.5, I 82
- 2θ 37.6, I 60
- 2θ 37.7, I 55
- 2θ 41.1, I 52
- 2θ 41.7, I 22

Atomic structure:
```
Na2CuAgSb2
1.0
-3.1003 7.4604 3.1145
3.1003 -7.4604 3.1145
3.1003 7.4604 -3.1145
Na Cu Ag Sb
4 2 2 4
direct
0.1700 0.2246 0.3946 Na
0.3300 0.7246 0.0546 Na
0.6700 0.2754 0.9454 Na
0.8300 0.7754 0.6054 Na
0.2500 0.7500 0.5000 Cu
0.7500 0.2500 0.5000 Cu
0.2500 0.2500 0.0000 Ag
0.7500 0.7500 0.0000 Ag
0.1118 0.7197 0.8315 Sb
0.3882 0.2197 0.6079 Sb
0.6118 0.7803 0.3921 Sb
0.8882 0.2803 0.1685 Sb
```

---

Calculated X-ray diffraction stick pattern of NaCuAgSe2 for Cu Ka, from a crystal structure in Alexandria, relaxed with GGA-PBE.
Neutral-atom scattering factors, no anomalous dispersion.

The 6 most intense peaks (2θ from 10° to 80°), sorted by position:
- 2θ 13.4, I 100
- 2θ 35.0, I 21
- 2θ 35.4, I 95
- 2θ 39.9, I 32
- 2θ 40.5, I 30
- 2θ 47.2, I 22

Atomic structure:
```
NaCuAgSe2
1.0
5.1295 0.0000 0.0000
0.0000 6.6314 0.0000
0.0000 0.0000 6.1617
Na Cu Ag Se
2 2 2 4
direct
0.2500 0.0000 0.2179 Na
0.7500 0.0000 0.7821 Na
0.0000 0.5000 0.0000 Cu
0.5000 0.5000 0.0000 Cu
0.2500 0.5000 0.4029 Ag
0.7500 0.5000 0.5971 Ag
0.2500 0.2484 0.7712 Se
0.2500 0.7516 0.7712 Se
0.7500 0.2484 0.2288 Se
0.7500 0.7516 0.2288 Se
```

---

Calculated X-ray diffraction stick pattern of Nd3Cu2Ag4 for Cu Ka, from a crystal structure in Alexandria, relaxed with GGA-PBE.
Neutral-atom scattering factors, no anomalous dispersion.

The 6 most intense peaks (2θ from 10° to 80°), sorted by position:
- 2θ 33.2, I 100
- 2θ 33.3, I 49
- 2θ 38.5, I 33
- 2θ 38.8, I 62
- 2θ 51.8, I 27
- 2θ 65.2, I 25

Atomic structure:
```
Nd3Cu2Ag4
1.0
5.4152 -2.3409 0.0000
5.4152 2.3409 0.0000
-3.5198 0.0000 8.0692
Nd Cu Ag
3 2 4
direct
0.0000 0.0000 0.0000 Nd
0.3282 0.3282 0.3431 Nd
0.6718 0.6718 0.6569 Nd
0.4000 0.4000 0.7263 Cu
0.6000 0.6000 0.2737 Cu
0.0475 0.0475 0.3752 Ag
0.2810 0.2810 0.9369 Ag
0.7190 0.7190 0.0631 Ag
0.9525 0.9525 0.6248 Ag
```

---

Calculated X-ray diffraction stick pattern of NdCu10Ag for Cu Ka, from a crystal structure in Alexandria, relaxed with GGA-PBE.
Neutral-atom scattering factors, no anomalous dispersion.

The 6 most intense peaks (2θ from 10° to 80°), sorted by position:
- 2θ 30.0, I 39
- 2θ 36.1, I 27
- 2θ 41.9, I 34
- 2θ 42.4, I 100
- 2θ 44.1, I 30
- 2θ 62.4, I 20

Atomic structure:
```
NdCu10Ag
1.0
4.1091 0.0000 0.0000
0.0000 4.9765 0.0000
0.0000 0.0000 8.6385
Nd Cu Ag
1 10 1
direct
0.0000 0.0000 0.0000 Nd
0.0000 0.0000 0.3455 Cu
0.0000 0.0000 0.6545 Cu
0.0000 0.5000 0.1866 Cu
0.0000 0.5000 0.8134 Cu
0.5000 0.0000 0.5000 Cu
0.5000 0.2492 0.2530 Cu
0.5000 0.2492 0.7470 Cu
0.5000 0.5000 0.0000 Cu
0.5000 0.7508 0.2530 Cu
0.5000 0.7508 0.7470 Cu
0.0000 0.5000 0.5000 Ag
```

---

Calculated X-ray diffraction stick pattern of Nd2Cu5AgRh2 for Cu Ka, from a crystal structure in Alexandria, relaxed with GGA-PBE.
Neutral-atom scattering factors, no anomalous dispersion.

The 6 most intense peaks (2θ from 10° to 80°), sorted by position:
- 2θ 35.2, I 24
- 2θ 37.8, I 100
- 2θ 40.0, I 31
- 2θ 41.5, I 30
- 2θ 44.9, I 40
- 2θ 61.7, I 17

Atomic structure:
```
Nd2Cu5AgRh2
1.0
9.3007 0.0000 0.0000
0.0000 9.3007 0.0000
0.0000 0.0000 4.0378
Nd Cu Ag Rh
4 10 2 4
direct
0.1751 0.3249 0.0000 Nd
0.3249 0.8249 0.0000 Nd
0.6751 0.1751 0.0000 Nd
0.8249 0.6751 0.0000 Nd
0.0000 0.5000 0.5000 Cu
0.0585 0.7988 0.5000 Cu
0.2012 0.0585 0.5000 Cu
0.2988 0.5585 0.5000 Cu
0.4415 0.2988 0.5000 Cu
0.5000 0.0000 0.5000 Cu
0.5585 0.7012 0.5000 Cu
0.7012 0.4415 0.5000 Cu
0.7988 0.9415 0.5000 Cu
0.9415 0.2012 0.5000 Cu
0.0000 0.0000 0.0000 Ag
0.5000 0.5000 0.0000 Ag
0.1246 0.6246 0.0000 Rh
0.3754 0.1246 0.0000 Rh
0.6246 0.8754 0.0000 Rh
0.8754 0.3754 0.0000 Rh
```

---

Calculated X-ray diffraction stick pattern of NdZn5Cu2Ag for Cu Ka, from a crystal structure in Alexandria, relaxed with GGA-PBE.
Neutral-atom scattering factors, no anomalous dispersion.

The 6 most intense peaks (2θ from 10° to 80°), sorted by position:
- 2θ 31.3, I 37
- 2θ 36.9, I 100
- 2θ 38.3, I 95
- 2θ 54.7, I 29
- 2θ 55.3, I 31
- 2θ 68.4, I 31

Atomic structure:
```
NdZn5Cu2Ag
1.0
4.6957 0.0000 0.0000
0.0000 4.6957 0.0000
0.0000 0.0000 7.1878
Nd Zn Cu Ag
1 5 2 1
direct
0.0000 0.0000 0.0000 Nd
0.0000 0.5000 0.2873 Zn
0.0000 0.5000 0.7127 Zn
0.5000 0.0000 0.2873 Zn
0.5000 0.0000 0.7127 Zn
0.5000 0.5000 0.0000 Zn
0.5000 0.5000 0.3352 Cu
0.5000 0.5000 0.6648 Cu
0.0000 0.0000 0.5000 Ag
```

---

Calculated X-ray diffraction stick pattern of NpCu2Ag2O6 for Cu Ka, from a crystal structure in Alexandria, relaxed with GGA-PBE.
Neutral-atom scattering factors, no anomalous dispersion.

The 6 most intense peaks (2θ from 10° to 80°), sorted by position:
- 2θ 23.7, I 87
- 2θ 31.2, I 100
- 2θ 36.3, I 72
- 2θ 48.6, I 36
- 2θ 51.3, I 27
- 2θ 58.9, I 38

Atomic structure:
```
NpCu2Ag2O6
1.0
5.7317 0.0000 0.0000
-2.8659 4.9638 0.0000
0.0000 0.0000 5.7189
Np Cu Ag O
1 2 2 6
direct
0.0000 0.0000 0.0000 Np
0.3333 0.6667 0.7875 Cu
0.6667 0.3333 0.2125 Cu
0.3333 0.6667 0.3040 Ag
0.6667 0.3333 0.6960 Ag
0.0418 0.3095 0.7882 O
0.2677 0.9582 0.7882 O
0.3095 0.2677 0.2118 O
0.6905 0.7323 0.7882 O
0.7323 0.0418 0.2118 O
0.9582 0.6905 0.2118 O
```